Starting from a structure optimized by DFT (PBE+U), the powder X-ray diffraction pattern of GaFeO3 was computed for Cu Kα.
Lines closer than 0.1° are merged.

Top 10 peaks for 2θ = 10–80°, in order of falling intensity:
index	d/Å	Rel. int.
1 -2 2	2.747	100
0 1 -3	2.991	36
1 3 -1	2.476	35
1 3 -5	1.529	24
3 -3 0	1.487	24
2 -1 2	2.199	17
1 3 5	1.532	15
2 0 1	2.492	15
0 5 3	1.548	14
2 0 0	2.582	14

Atomic structure:
a b c (Å): 5.165 8.860 9.532
angles (deg): 89.96 89.89 89.93
Space group P1 (No. 1)
Symmetry-distinct sites (fractional):
Ga1 0.000 0.000 0.000
Ga2 0.001 0.687 0.202
Ga3 0.352 0.382 0.702
Ga4 0.362 0.695 0.509
Ga5 0.501 0.881 0.202
Ga6 0.854 0.186 0.703
Ga7 0.863 0.873 0.509
Ga8 0.990 0.373 0.010
Fe1 0.353 0.064 0.501
Fe2 0.367 0.382 0.286
Fe3 0.489 0.194 0.011
Fe4 0.489 0.882 0.786
Fe5 0.501 0.565 0.001
Fe6 0.853 0.503 0.501
Fe7 0.868 0.185 0.286
Fe8 0.987 0.687 0.786
O1 0.021 0.032 0.406
O2 0.023 0.695 0.400
O3 0.024 0.364 0.375
O4 0.151 0.211 0.127
O5 0.162 0.866 0.142
O6 0.163 0.546 0.635
O7 0.190 0.523 0.135
O8 0.193 0.203 0.643
O9 0.202 0.857 0.626
O10 0.325 0.032 0.906
O11 0.329 0.375 0.900
O12 0.331 0.704 0.874
O13 0.521 0.536 0.406
O14 0.522 0.202 0.373
O15 0.523 0.873 0.400
O16 0.656 0.359 0.129
O17 0.661 0.702 0.143
O18 0.663 0.023 0.636
O19 0.692 0.364 0.643
O20 0.700 0.042 0.134
O21 0.702 0.712 0.627
O22 0.831 0.864 0.876
O23 0.832 0.531 0.905
O24 0.834 0.192 0.901



Starting from a structure optimized by DFT (PBE+U), the powder X-ray diffraction pattern of Zn2CrWO6 was computed for Cu Kα.
Lines closer than 0.1° are merged.

Top 10 peaks for 2θ = 10–80°, in order of falling intensity:
index	d/Å	Rel. int.
-1 1 1	2.769	100
1 0 0	4.313	79
2 -1 0	2.615	77
0 1 -2	2.759	50
1 1 -1	2.625	39
0 3 -2	1.514	25
1 0 -1	3.811	23
2 0 -2	1.902	21
0 2 0	1.909	21
2 -2 2	1.893	20

Atomic structure:
a b c (Å): 5.226 5.232 5.537
angles (deg): 117.92 90.26 119.73
Space group P1 (No. 1)
Symmetry-distinct sites (fractional):
Zn1 0.000 0.000 0.000
Zn2 0.459 0.928 0.389
Cr1 0.740 0.485 0.226
W1 0.237 0.479 0.718
O1 0.002 0.363 0.984
O2 0.116 0.985 0.470
O3 0.364 0.981 0.990
O4 0.488 0.616 0.473
O5 0.614 0.622 0.981
O6 0.865 0.351 0.473



Starting from a structure optimized by DFT (PBE+U), the powder X-ray diffraction pattern of NaTi3FeO8 was computed for Cu Kα.
Lines closer than 0.1° are merged.

Top 10 peaks for 2θ = 10–80°, in order of falling intensity:
index	d/Å	Rel. int.
1 1 0	3.655	100
0 2 0	1.922	68
0 0 2	3.135	62
0 0 3	2.090	59
6 0 -1	2.066	56
3 1 -1	2.739	50
3 1 0	2.753	44
4 0 -1	3.050	41
1 1 1	3.039	40
0 0 1	6.270	35

Atomic structure:
a b c (Å): 12.400 3.843 6.568
angles (deg): 90.00 107.31 90.00
Space group Cm (No. 8)
Symmetry-distinct sites (fractional):
Na1 0.000 0.000 0.000
Ti1 0.103 0.500 0.705
Ti2 0.204 0.500 0.298
Ti3 0.400 0.000 0.297
Fe1 0.300 0.000 0.711
O1 0.060 0.500 0.372
O2 0.131 0.500 0.016
O3 0.134 0.000 0.719
O4 0.237 0.000 0.346
O5 0.262 0.500 0.652
O6 0.364 0.500 0.300
O7 0.378 0.000 0.012
O8 0.448 0.000 0.641



Starting from a structure optimized by DFT (PBE+U), the powder X-ray diffraction pattern of Li5Mn2P3O12 was computed for Cu Kα.
Lines closer than 0.1° are merged.

Top 10 peaks for 2θ = 10–80°, in order of falling intensity:
index	d/Å	Rel. int.
1 -1 1	4.738	100
-1 2 2	2.943	69
-1 2 1	3.778	65
0 1 -1	6.304	48
1 1 -3	2.914	46
1 0 0	6.412	46
-1 1 1	6.257	43
1 1 0	3.838	42
1 0 -2	4.638	40
2 -1 0	3.807	37

Atomic structure:
a b c (Å): 8.503 8.535 9.385
angles (deg): 90.34 115.63 119.44
Space group P1 (No. 1)
Symmetry-distinct sites (fractional):
Li1 0.000 0.000 0.000
Li2 0.013 0.265 0.199
Li3 0.060 0.543 0.715
Li4 0.296 0.418 0.502
Li5 0.351 0.685 0.013
Li6 0.510 0.241 0.819
Li7 0.611 0.135 0.458
Li8 0.707 0.793 0.712
Li9 0.780 0.706 0.210
Li10 0.903 0.760 0.517
Mn1 0.365 0.835 0.630
Mn2 0.412 0.343 0.178
Mn3 0.989 0.630 0.054
Mn4 0.994 0.133 0.582
P1 0.169 0.025 0.354
P2 0.184 0.930 0.860
P3 0.471 0.543 0.854
P4 0.502 0.735 0.366
P5 0.869 0.222 0.849
P6 0.886 0.442 0.360
O1 0.021 0.617 0.513
O2 0.022 0.973 0.427
O3 0.028 0.884 0.178
O4 0.058 0.254 0.013
O5 0.120 0.733 0.893
O6 0.248 0.228 0.334
O7 0.274 0.077 0.016
O8 0.304 0.675 0.200
O9 0.334 0.345 0.727
O10 0.336 0.985 0.796
O11 0.356 0.011 0.465
O12 0.362 0.650 0.795
O13 0.444 0.679 0.504
O14 0.489 0.530 0.025
O15 0.605 0.632 0.348
O16 0.664 0.949 0.421
O17 0.667 0.319 0.341
O18 0.689 0.645 0.869
O19 0.703 0.008 0.789
O20 0.793 0.340 0.887
O21 0.866 0.512 0.206
O22 0.927 0.282 0.712
O23 0.978 0.910 0.724
O24 0.991 0.329 0.388



Starting from a structure optimized by DFT (PBE+U), the powder X-ray diffraction pattern of Li9Mn2Co5O16 was computed for Cu Kα.
Lines closer than 0.1° are merged.

Top 10 peaks for 2θ = 10–80°, in order of falling intensity:
index	d/Å	Rel. int.
1 0 -1	4.834	100
-1 2 2	2.116	29
1 2 -4	2.066	27
2 0 2	2.039	26
0 2 1	2.528	15
3 -2 0	1.479	15
0 2 -3	2.487	14
1 0 3	2.453	13
0 4 -2	1.476	8
1 -2 2	2.392	8

Atomic structure:
a b c (Å): 5.085 5.907 10.083
angles (deg): 105.84 101.10 90.93
Space group P1 (No. 1)
Symmetry-distinct sites (fractional):
Li1 0.000 0.000 0.000
Li2 0.001 0.495 0.498
Li3 0.003 0.009 0.497
Li4 0.240 0.386 0.756
Li5 0.248 0.884 0.762
Li6 0.502 0.242 0.003
Li7 0.503 0.767 0.005
Li8 0.750 0.619 0.243
Li9 0.766 0.114 0.241
Mn1 0.500 0.756 0.500
Mn2 0.750 0.131 0.756
Co1 0.012 0.509 0.004
Co2 0.244 0.363 0.239
Co3 0.258 0.871 0.247
Co4 0.495 0.254 0.496
Co5 0.750 0.637 0.755
O1 0.091 0.679 0.866
O2 0.095 0.203 0.873
O3 0.145 0.200 0.384
O4 0.157 0.699 0.374
O5 0.375 0.057 0.141
O6 0.377 0.549 0.120
O7 0.396 0.049 0.619
O8 0.402 0.577 0.622
O9 0.605 0.935 0.381
O10 0.610 0.467 0.387
O11 0.628 0.956 0.867
O12 0.641 0.429 0.860
O13 0.848 0.299 0.623
O14 0.850 0.830 0.634
O15 0.900 0.321 0.134
O16 0.909 0.795 0.125



Starting from a structure optimized by DFT (PBE+U), the powder X-ray diffraction pattern of Li2VF6 was computed for Cu Kα.
Lines closer than 0.1° are merged.

Top 10 peaks for 2θ = 10–80°, in order of falling intensity:
index	d/Å	Rel. int.
1 2 0	4.324	100
2 1 0	4.271	55
1 -1 0	4.426	54
1 0 2	4.358	53
2 2 4	2.199	43
1 1 -2	4.024	42
3 0 2	2.313	32
2 2 2	3.135	27
0 3 -2	2.251	23
2 0 -2	2.944	16

Atomic structure:
a b c (Å): 8.580 8.692 10.258
angles (deg): 85.86 84.81 61.68
Space group P1 (No. 1)
Symmetry-distinct sites (fractional):
Li1 0.000 0.000 0.000
Li2 0.039 0.624 0.801
Li3 0.206 0.077 0.489
Li4 0.277 0.275 0.965
Li5 0.329 0.348 0.304
Li6 0.385 0.963 0.101
Li7 0.454 0.183 0.576
Li8 0.534 0.423 0.778
Li9 0.637 0.605 0.256
Li10 0.688 0.666 0.592
Li11 0.883 0.718 0.080
Li12 0.955 0.957 0.556
V1 0.321 0.627 0.526
V2 0.334 0.622 0.030
V3 0.668 0.953 0.325
V4 0.670 0.956 0.825
V5 0.994 0.282 0.242
V6 0.997 0.285 0.738
F1 0.082 0.082 0.842
F2 0.083 0.385 0.860
F3 0.085 0.068 0.341
F4 0.093 0.707 0.480
F5 0.094 0.703 0.969
F6 0.106 0.347 0.358
F7 0.221 0.204 0.640
F8 0.224 0.202 0.136
F9 0.240 0.859 0.080
F10 0.240 0.859 0.580
F11 0.257 0.542 0.181
F12 0.260 0.553 0.693
F13 0.392 0.395 0.468
F14 0.408 0.677 0.871
F15 0.410 0.398 0.955
F16 0.420 0.675 0.374
F17 0.440 0.049 0.428
F18 0.452 0.036 0.930
F19 0.544 0.561 0.106
F20 0.546 0.550 0.603
F21 0.566 0.162 0.235
F22 0.574 0.180 0.731
F23 0.586 0.879 0.698
F24 0.590 0.851 0.196
F25 0.724 0.743 0.416
F26 0.746 0.032 0.458
F27 0.766 0.029 0.943
F28 0.766 0.737 0.915
F29 0.774 0.366 0.820
F30 0.778 0.373 0.338
F31 0.879 0.869 0.219
F32 0.892 0.865 0.723
F33 0.904 0.509 0.159
F34 0.914 0.505 0.651
F35 0.927 0.195 0.115
F36 0.942 0.180 0.606



Starting from a structure optimized by DFT (PBE+U), the powder X-ray diffraction pattern of VCl3O was computed for Cu Kα.
Lines closer than 0.1° are merged.

Top 10 peaks for 2θ = 10–80°, in order of falling intensity:
index	d/Å	Rel. int.
1 1 1	4.396	100
1 2 2	3.105	41
0 2 0	4.914	37
0 0 2	5.993	28
0 2 2	3.799	23
1 2 1	3.475	21
2 0 0	2.695	20
0 1 3	3.703	20
0 3 5	1.934	20
1 0 2	4.008	19

Atomic structure:
a b c (Å): 5.391 9.824 11.985
angles (deg): 90.00 90.00 90.00
Space group Pnma (No. 62)
Symmetry-distinct sites (fractional):
V1 0.140 0.250 0.046
Cl1 0.231 0.569 0.629
Cl2 0.248 0.750 0.372
O1 0.157 0.750 0.950